Structure and calculated powder X-ray diffraction pattern of AgSe (a crystal structure in Alexandria, relaxed with PBE; λ = 1.5418 Å (Cu Kα)).
Kinematic intensities with the Lorentz-polarization factor, no thermal factor.

Top 6 peaks for 10° ≤ 2θ ≤ 90°, by angle:
- 25.6 deg, rel. 39.6
- 29.3 deg, rel. 43.6
- 38.1 deg, rel. 52.3
- 38.5 deg, rel. 100.0
- 44.4 deg, rel. 60.8
- 45.6 deg, rel. 28.1

Structure:
```
data_AgSe
_symmetry_space_group_name_H-M 'P n n m'
_symmetry_Int_Tables_number 58
_symmetry_space_group_name_Hall '-P 2 2n'
_cell_length_a 6.322
_cell_length_b 7.127
_cell_length_c 3.978
_cell_angle_alpha 90.00
_cell_angle_beta 90.00
_cell_angle_gamma 90.00
loop_
_atom_site_label
_atom_site_type_symbol
_atom_site_fract_x
_atom_site_fract_y
_atom_site_fract_z
Ag1 Ag 0.000 0.000 0.000
Ag2 Ag 0.000 0.500 0.500
Se1 Se 0.190 0.167 0.500
```